1.
# Mn2V2Rh3
Theoretical XRD peak list, Cu Kα X-rays. Input: a structure optimized by DFT (PBE).
Lines closer than 0.1° are merged.

Peak list (10 most intense, 15° ≤ 2θ ≤ 90°, sorted by position)
(1 1 0), 2θ = 23.39°, I = 16
(0 6 0), 2θ = 29.75°, I = 18
(1 1 1), 2θ = 40.68°, I = 100
(1 7 0), 2θ = 42.09°, I = 91
(0 6 1), 2θ = 44.86°, I = 46
(2 0 0), 2θ = 46.70°, I = 37
(0 8 1), 2θ = 52.68°, I = 14
(2 6 1), 2θ = 66.76°, I = 27
(1 13 1), 2θ = 81.76°, I = 14
(1 7 2), 2θ = 84.01°, I = 22

Cell and atoms:
```
data_Mn2V2Rh3
_space_group_name_H-M_alt 'C m m m'
_space_group_IT_number 65
_space_group_name_Hall '-C 2 2'
_cell_length_a 3.8904
_cell_length_b 18.0184
_cell_length_c 2.7307
_cell_angle_alpha 90.00
_cell_angle_beta 90.00
_cell_angle_gamma 90.00
loop_
_atom_site_label
_atom_site_type_symbol
_atom_site_fract_x
_atom_site_fract_y
_atom_site_fract_z
Mn1 Mn 0.0000 0.0688 0.0000
V1 V 0.0000 0.2087 0.0000
Rh1 Rh 0.0000 0.3458 0.5000
Rh2 Rh 0.0000 0.5000 0.5000
```



2.
# MnV2Rh5
Theoretical XRD peak list, Cu Kα X-rays. Input: a structure optimized by DFT (PBE).
Lines closer than 0.1° are merged.

Peak list (10 most intense, 15° ≤ 2θ ≤ 90°, sorted by position)
(1 2 0), 2θ = 23.53°, I = 6
(1 2 1), 2θ = 33.34°, I = 5
(0 4 1), 2θ = 41.21°, I = 100
(0 0 2), 2θ = 47.62°, I = 17
(2 4 0), 2θ = 48.12°, I = 31
(2 4 2), 2θ = 70.02°, I = 19
(0 4 3), 2θ = 84.24°, I = 12
(4 4 1), 2θ = 84.90°, I = 10
(2 8 1), 2θ = 85.08°, I = 11
(0 8 2), 2θ = 89.59°, I = 5

Cell and atoms:
```
data_MnV2Rh5
_space_group_name_H-M_alt 'P b a m'
_space_group_IT_number 55
_cell_length_a 5.3562
_cell_length_b 10.6798
_cell_length_c 3.8194
_cell_angle_alpha 90.00
_cell_angle_beta 90.00
_cell_angle_gamma 90.00
loop_
_space_group_symop_operation_xyz
'x,y,z'
'-x,-y,-z'
'-x,-y,z'
'x,y,-z'
'x+1/2,-y+1/2,-z'
'-x+1/2,y+1/2,z'
'-x+1/2,y+1/2,-z'
'x+1/2,-y+1/2,z'
loop_
_atom_site_label
_atom_site_type_symbol
_atom_site_fract_x
_atom_site_fract_y
_atom_site_fract_z
Mn1 Mn 0.0000 0.0000 0.0000
V1 V 0.2370 0.3731 0.5000
Rh1 Rh 0.0000 0.5000 0.0000
Rh2 Rh 0.0199 0.7536 0.0000
Rh3 Rh 0.2336 0.1202 0.5000
```



3.
# Mn2Rh8W
Theoretical XRD peak list, Cu Kα X-rays. Input: a structure optimized by DFT (PBE).
Lines closer than 0.1° are merged.

Peak list (10 most intense, 15° ≤ 2θ ≤ 90°, sorted by position)
(2 0 1), 2θ = 31.69°, I = 28
(3 1 1), 2θ = 41.95°, I = 93
(0 4 1), 2θ = 42.65°, I = 100
(3 3 0), 2θ = 43.86°, I = 53
(0 0 2), 2θ = 44.93°, I = 45
(3 3 2), 2θ = 64.59°, I = 33
(3 7 1), 2θ = 80.24°, I = 21
(3 1 3), 2θ = 80.80°, I = 13
(0 4 3), 2θ = 81.28°, I = 15
(6 4 1), 2θ = 87.11°, I = 25

Cell and atoms:
```
data_Mn2Rh8W
_space_group_name_H-M_alt 'C m m m'
_space_group_IT_number 65
_space_group_name_Hall '-C 2 2'
_cell_length_a 7.9031
_cell_length_b 9.9671
_cell_length_c 4.0353
_cell_angle_alpha 90.00
_cell_angle_beta 90.00
_cell_angle_gamma 90.00
loop_
_atom_site_label
_atom_site_type_symbol
_atom_site_fract_x
_atom_site_fract_y
_atom_site_fract_z
Mn1 Mn 0.0000 0.1139 0.0000
Rh1 Rh 0.0000 0.2388 0.5000
Rh2 Rh 0.1695 0.0000 0.5000
Rh3 Rh 0.1694 0.3656 0.0000
W1 W 0.0000 0.5000 0.5000
```



4.
# MnRh6W
Theoretical XRD peak list, Cu Kα X-rays. Input: a structure optimized by DFT (PBE).
Lines closer than 0.1° are merged.

Peak list (10 most intense, 15° ≤ 2θ ≤ 90°, sorted by position)
(1 0 0), 2θ = 16.28°, I = 10
(1 0 1), 2θ = 28.41°, I = 5
(2 1 0), 2θ = 36.93°, I = 2
(2 0 1), 2θ = 40.61°, I = 100
(2 1 1), 2θ = 44.02°, I = 4
(2 2 0), 2θ = 47.24°, I = 48
(3 2 0), 2θ = 61.43°, I = 2
(4 0 0), 2θ = 69.03°, I = 30
(4 2 1), 2θ = 83.28°, I = 36
(4 0 2), 2θ = 87.89°, I = 11

Cell and atoms:
```
data_MnRh6W
_space_group_name_H-M_alt 'P 4/m m m'
_space_group_IT_number 123
_space_group_name_Hall '-P 4 2'
_cell_length_a 5.4430
_cell_length_b 5.4430
_cell_length_c 3.8468
_cell_angle_alpha 90.00
_cell_angle_beta 90.00
_cell_angle_gamma 90.00
loop_
_atom_site_label
_atom_site_type_symbol
_atom_site_fract_x
_atom_site_fract_y
_atom_site_fract_z
Mn1 Mn 0.0000 0.0000 0.0000
Rh1 Rh 0.0000 0.5000 0.0000
Rh2 Rh 0.2518 0.2518 0.5000
W1 W 0.5000 0.5000 0.0000
```



5.
# Mn2ZnRh
Theoretical XRD peak list, Cu Kα X-rays. Input: a structure optimized by DFT (PBE).
Lines closer than 0.1° are merged.

Peak list (10 most intense, 15° ≤ 2θ ≤ 90°, sorted by position)
(1 0 0), 2θ = 39.34°, I = 15
(1 0 1), 2θ = 40.86°, I = 42
(0 0 4), 2θ = 43.44°, I = 29
(0 1 2), 2θ = 45.18°, I = 100
(0 1 3), 2θ = 51.73°, I = 19
(1 0 5), 2θ = 69.80°, I = 11
(1 1 0), 2θ = 71.33°, I = 20
(0 1 6), 2θ = 80.96°, I = 14
(1 1 4), 2θ = 87.35°, I = 21
(2 0 2), 2θ = 88.56°, I = 13

Cell and atoms:
```
data_Mn2ZnRh
_space_group_name_H-M_alt 'P 3 m 1'
_space_group_IT_number 156
_cell_length_a 2.6446
_cell_length_b 2.6446
_cell_length_c 8.3322
_cell_angle_alpha 90.00
_cell_angle_beta 90.00
_cell_angle_gamma 120.00
loop_
_space_group_symop_operation_xyz
'x,y,z'
'-y,x-y,z'
'-x+y,-x,z'
'-y,-x,z'
'-x+y,y,z'
'x,x-y,z'
loop_
_atom_site_label
_atom_site_type_symbol
_atom_site_fract_x
_atom_site_fract_y
_atom_site_fract_z
Mn1 Mn 0.0000 0.0000 0.0000
Mn2 Mn 0.3333 0.6667 0.2237
Zn1 Zn 0.6667 0.3333 0.4837
Rh1 Rh 0.3333 0.6667 0.7516
```



6.
# Zr3MnRh2
Theoretical XRD peak list, Cu Kα X-rays. Input: a structure optimized by DFT (PBE).
Lines closer than 0.1° are merged.

Peak list (10 most intense, 15° ≤ 2θ ≤ 90°, sorted by position)
(1 2 1), 2θ = 38.99°, I = 100
(2 0 -1), 2θ = 39.14°, I = 50
(0 4 0), 2θ = 56.09°, I = 8
(2 0 2), 2θ = 56.44°, I = 8
(2 0 -4), 2θ = 56.65°, I = 8
(2 4 -1), 2θ = 70.52°, I = 16
(3 2 0), 2θ = 70.75°, I = 16
(3 2 -3), 2θ = 70.89°, I = 16
(2 4 2), 2θ = 83.65°, I = 5
(4 0 -2), 2θ = 84.12°, I = 5

Cell and atoms:
```
data_Zr3MnRh2
_space_group_name_H-M_alt 'P 1 2/m 1'
_space_group_IT_number 10
_cell_length_a 4.6016
_cell_length_b 6.5587
_cell_length_c 7.2728
_cell_angle_alpha 90.00
_cell_angle_beta 108.24
_cell_angle_gamma 90.00
loop_
_space_group_symop_operation_xyz
'x,y,z'
'-x,-y,-z'
'-x,y,-z'
'x,-y,z'
loop_
_atom_site_label
_atom_site_type_symbol
_atom_site_fract_x
_atom_site_fract_y
_atom_site_fract_z
Zr1 Zr 0.0000 0.2464 0.0000
Zr2 Zr 0.3303 0.2423 0.6610
Mn1 Mn 0.1664 0.0000 0.3328
Rh1 Rh 0.1657 0.5000 0.3311
Rh2 Rh 0.5000 0.0000 0.0000
Rh3 Rh 0.5000 0.5000 0.0000
```



7.
# MnRu
Theoretical XRD peak list, Cu Kα X-rays. Input: a structure optimized by DFT (PBE).
Lines closer than 0.1° are merged.

Peak list (10 most intense, 15° ≤ 2θ ≤ 90°, sorted by position)
(0 2 0), 2θ = 20.28°, I = 18
(1 3 1), 2θ = 40.42°, I = 33
(0 4 0), 2θ = 41.24°, I = 20
(1 1 2), 2θ = 41.66°, I = 100
(2 2 0), 2θ = 43.46°, I = 65
(0 4 1), 2θ = 45.10°, I = 21
(2 2 1), 2θ = 47.18°, I = 13
(1 3 2), 2θ = 51.46°, I = 33
(1 5 1), 2θ = 59.12°, I = 11
(3 1 2), 2θ = 71.16°, I = 18

Cell and atoms:
```
data_MnRu
_space_group_name_H-M_alt 'C 2 2 21'
_space_group_IT_number 20
_cell_length_a 4.7341
_cell_length_b 8.7557
_cell_length_c 5.0788
_cell_angle_alpha 90.00
_cell_angle_beta 90.00
_cell_angle_gamma 90.00
loop_
_space_group_symop_operation_xyz
'x,y,z'
'-x,-y,z+1/2'
'x,-y,-z'
'-x,y,-z+1/2'
'x+1/2,y+1/2,z'
'-x+1/2,-y+1/2,z+1/2'
'x+1/2,-y+1/2,-z'
'-x+1/2,y+1/2,-z+1/2'
loop_
_atom_site_label
_atom_site_type_symbol
_atom_site_fract_x
_atom_site_fract_y
_atom_site_fract_z
Mn1 Mn 0.0000 0.0389 0.2500
Mn2 Mn 0.0527 0.5000 0.0000
Ru1 Ru 0.2438 0.2110 0.8761
```



8.
# Mn5Ru
Theoretical XRD peak list, Cu Kα X-rays. Input: a structure optimized by DFT (PBE).
Lines closer than 0.1° are merged.

Peak list (10 most intense, 15° ≤ 2θ ≤ 90°, sorted by position)
(0 2 0), 2θ = 15.90°, I = 4
(1 3 1), 2θ = 42.84°, I = 100
(0 6 0), 2θ = 49.04°, I = 16
(2 0 0), 2θ = 49.48°, I = 16
(0 0 2), 2θ = 51.12°, I = 14
(2 6 0), 2θ = 72.22°, I = 9
(0 6 2), 2θ = 73.54°, I = 9
(2 0 2), 2θ = 73.89°, I = 9
(1 9 1), 2θ = 87.45°, I = 11
(3 3 1), 2θ = 88.12°, I = 11

Cell and atoms:
```
data_Mn5Ru
_space_group_name_H-M_alt 'C m m m'
_space_group_IT_number 65
_space_group_name_Hall '-C 2 2'
_cell_length_a 3.6845
_cell_length_b 11.1463
_cell_length_c 3.5737
_cell_angle_alpha 90.00
_cell_angle_beta 90.00
_cell_angle_gamma 90.00
loop_
_atom_site_label
_atom_site_type_symbol
_atom_site_fract_x
_atom_site_fract_y
_atom_site_fract_z
Mn1 Mn 0.0000 0.0000 0.0000
Mn2 Mn 0.0000 0.1657 0.5000
Mn3 Mn 0.0000 0.3312 0.0000
Ru1 Ru 0.0000 0.5000 0.5000
```



9.
# MnRu
Theoretical XRD peak list, Cu Kα X-rays. Input: a structure optimized by DFT (PBE).
Lines closer than 0.1° are merged.

Peak list (10 most intense, 15° ≤ 2θ ≤ 90°, sorted by position)
(1 1 1), 2θ = 39.28°, I = 34
(2 0 2), 2θ = 39.75°, I = 18
(4 0 -2), 2θ = 43.24°, I = 49
(1 1 -2), 2θ = 44.93°, I = 67
(3 1 0), 2θ = 45.21°, I = 100
(4 0 1), 2θ = 45.78°, I = 30
(3 1 3), 2θ = 71.83°, I = 20
(4 0 -5), 2θ = 80.30°, I = 16
(4 2 -2), 2θ = 86.79°, I = 12
(1 1 -5), 2θ = 87.08°, I = 12

Cell and atoms:
```
data_MnRu
_space_group_name_H-M_alt 'C 1 m 1'
_space_group_IT_number 8
_cell_length_a 9.4638
_cell_length_b 2.6590
_cell_length_c 6.2153
_cell_angle_alpha 90.00
_cell_angle_beta 104.49
_cell_angle_gamma 90.00
loop_
_space_group_symop_operation_xyz
'x,y,z'
'x,-y,z'
'x+1/2,y+1/2,z'
'x+1/2,-y+1/2,z'
loop_
_atom_site_label
_atom_site_type_symbol
_atom_site_fract_x
_atom_site_fract_y
_atom_site_fract_z
Mn1 Mn 0.0000 0.0000 0.0000
Mn2 Mn 0.0595 0.0000 0.6052
Mn3 Mn 0.1660 0.5000 0.3316
Ru1 Ru 0.2153 0.5000 0.9427
Ru2 Ru 0.3371 0.0000 0.6652
Ru3 Ru 0.3930 0.0000 0.2753
```



10.
# Mn5Ru
Theoretical XRD peak list, Cu Kα X-rays. Input: a structure optimized by DFT (PBE).
Lines closer than 0.1° are merged.

Peak list (10 most intense, 15° ≤ 2θ ≤ 90°, sorted by position)
(1 1 1), 2θ = 40.77°, I = 23
(2 0 2), 2θ = 41.31°, I = 14
(4 0 -2), 2θ = 44.42°, I = 37
(3 1 0), 2θ = 46.70°, I = 100
(4 0 1), 2θ = 47.12°, I = 22
(0 0 3), 2θ = 47.24°, I = 22
(0 2 0), 2θ = 73.85°, I = 7
(3 1 3), 2θ = 74.95°, I = 14
(7 1 -2), 2θ = 83.37°, I = 8
(5 1 -4), 2θ = 83.50°, I = 8

Cell and atoms:
```
data_Mn5Ru
_space_group_name_H-M_alt 'C 1 m 1'
_space_group_IT_number 8
_cell_length_a 9.2655
_cell_length_b 2.5664
_cell_length_c 5.9702
_cell_angle_alpha 90.00
_cell_angle_beta 104.79
_cell_angle_gamma 90.00
loop_
_space_group_symop_operation_xyz
'x,y,z'
'x,-y,z'
'x+1/2,y+1/2,z'
'x+1/2,-y+1/2,z'
loop_
_atom_site_label
_atom_site_type_symbol
_atom_site_fract_x
_atom_site_fract_y
_atom_site_fract_z
Mn1 Mn 0.0000 0.0000 0.0000
Mn2 Mn 0.0528 0.0000 0.6213
Mn3 Mn 0.1593 0.5000 0.3442
Mn4 Mn 0.2134 0.5000 0.9391
Mn5 Mn 0.3292 0.0000 0.6771
Ru1 Ru 0.3817 0.0000 0.2788
```



11.
# Mn5Ru
Theoretical XRD peak list, Cu Kα X-rays. Input: a structure optimized by DFT (PBE).
Lines closer than 0.1° are merged.

Peak list (10 most intense, 15° ≤ 2θ ≤ 90°, sorted by position)
(1 1 1), 2θ = 23.50°, I = 4
(2 0 0), 2θ = 27.20°, I = 5
(2 2 0), 2θ = 38.85°, I = 41
(3 1 1), 2θ = 45.90°, I = 100
(2 2 2), 2θ = 48.07°, I = 29
(3 3 1), 2θ = 61.66°, I = 1
(4 2 0), 2θ = 63.45°, I = 2
(4 2 2), 2θ = 70.34°, I = 13
(5 1 1), 2θ = 75.31°, I = 28
(4 4 0), 2θ = 83.38°, I = 22

Cell and atoms:
```
data_Mn5Ru
_space_group_name_H-M_alt 'F -4 3 m'
_space_group_IT_number 216
_space_group_name_Hall 'F -4 2 3'
_cell_length_a 6.5568
_cell_length_b 6.5568
_cell_length_c 6.5568
_cell_angle_alpha 90.00
_cell_angle_beta 90.00
_cell_angle_gamma 90.00
loop_
_atom_site_label
_atom_site_type_symbol
_atom_site_fract_x
_atom_site_fract_y
_atom_site_fract_z
Mn1 Mn 0.0000 0.0000 0.0000
Mn2 Mn 0.1255 0.1255 0.3745
Ru1 Ru 0.2500 0.2500 0.7500
```



12.
# Mn4Ru5
Theoretical XRD peak list, Cu Kα X-rays. Input: a structure optimized by DFT (PBE).
Lines closer than 0.1° are merged.

Peak list (10 most intense, 15° ≤ 2θ ≤ 90°, sorted by position)
(1 1 1), 2θ = 30.06°, I = 15
(0 0 2), 2θ = 34.23°, I = 6
(1 1 2), 2θ = 42.64°, I = 98
(3 0 0), 2θ = 43.41°, I = 100
(3 0 2), 2θ = 56.40°, I = 7
(2 2 2), 2θ = 62.47°, I = 30
(0 0 4), 2θ = 72.11°, I = 7
(4 1 2), 2θ = 79.12°, I = 29
(3 3 0), 2θ = 79.66°, I = 15
(3 0 4), 2θ = 88.07°, I = 25

Cell and atoms:
```
data_Mn4Ru5
_space_group_name_H-M_alt 'P 63/m c m'
_space_group_IT_number 193
_space_group_name_Hall '-P 6c 2'
_cell_length_a 7.2218
_cell_length_b 7.2218
_cell_length_c 5.2396
_cell_angle_alpha 90.00
_cell_angle_beta 90.00
_cell_angle_gamma 120.00
loop_
_atom_site_label
_atom_site_type_symbol
_atom_site_fract_x
_atom_site_fract_y
_atom_site_fract_z
Mn1 Mn 0.0000 0.0000 0.0000
Mn2 Mn 0.0000 0.3401 0.2500
Ru1 Ru 0.0000 0.3230 0.7500
Ru2 Ru 0.3333 0.6667 0.0000
```